# 1
For SiAg2PbS4, a DFT-relaxed cell (PBE, Alexandria) gives the theoretical X-ray powder pattern in this record (a wavelength of 1.5418 Å).
Kinematic intensities with the Lorentz-polarization factor, no thermal factor.

```
SiAg2PbS4
1.0
0.000 4.564 5.323
3.912 0.000 5.323
3.912 4.564 0.000
Si Ag Pb S
1 2 1 4
Direct
0.000 0.000 0.000
0.265 0.265 0.235
0.765 0.765 0.735
0.551 0.551 0.449
0.100 0.656 0.900
0.304 0.921 0.079
0.656 0.100 0.344
0.921 0.304 0.696
```

Main lines, low angle first (10° ≤ 2θ ≤ 80°):
| d/Å | 2θ/deg | intensity |
| --- | --- | --- |
| 5.188 | 17.1 | 50 |
| 3.465 | 25.7 | 81 |
| 3.152 | 28.3 | 100 |
| 3.046 | 29.3 | 24 |
| 2.970 | 30.1 | 38 |
| 2.740 | 32.7 | 27 |
| 2.282 | 39.5 | 22 |
| 1.982 | 45.8 | 46 |
| 1.848 | 49.3 | 36 |
| 1.703 | 53.8 | 26 |

***

# 2
For HgPtCl6, a DFT-relaxed cell (PBE, Alexandria) gives the theoretical X-ray powder pattern in this record (a wavelength of 1.5418 Å).
Kinematic intensities with the Lorentz-polarization factor, no thermal factor.

```
HgPtCl6
1.0
5.453 -3.773 0.000
5.453 3.773 0.000
-0.267 0.000 10.295
Hg Pt Cl
2 2 12
Direct
0.009 0.991 0.750
0.991 0.009 0.250
0.000 0.500 0.000
0.500 0.000 0.500
0.144 0.243 0.497
0.152 0.583 0.191
0.225 0.620 0.876
0.243 0.144 0.997
0.380 0.775 0.624
0.417 0.848 0.309
0.583 0.152 0.691
0.620 0.225 0.376
0.757 0.856 0.003
0.775 0.380 0.124
0.848 0.417 0.809
0.856 0.757 0.503
```

Main lines, low angle first (10° ≤ 2θ ≤ 80°):
| d/Å | 2θ/deg | intensity |
| --- | --- | --- |
| 6.205 | 14.3 | 100 |
| 5.350 | 16.6 | 84 |
| 5.280 | 16.8 | 97 |
| 3.792 | 23.5 | 84 |
| 3.695 | 24.1 | 86 |
| 3.103 | 28.8 | 56 |
| 3.043 | 29.3 | 41 |
| 2.388 | 37.7 | 40 |
| 2.046 | 44.3 | 51 |
| 1.966 | 46.2 | 37 |

***

# 3
For LiNp4Ga12, a DFT-relaxed cell (PBE, Alexandria) gives the theoretical X-ray powder pattern in this record (a wavelength of 1.5418 Å).
Kinematic intensities with the Lorentz-polarization factor, no thermal factor.

```
LiNp4Ga12
1.0
-4.319 4.319 4.319
4.319 -4.319 4.319
4.319 4.319 -4.319
Li Np Ga
1 4 12
Direct
0.000 0.000 0.000
0.000 0.000 0.500
0.000 0.500 0.000
0.500 0.000 0.000
0.500 0.500 0.500
0.000 0.292 0.292
0.000 0.708 0.708
0.250 0.500 0.750
0.250 0.750 0.500
0.292 0.000 0.292
0.292 0.292 0.000
0.500 0.250 0.750
0.500 0.750 0.250
0.708 0.000 0.708
0.708 0.708 0.000
0.750 0.250 0.500
0.750 0.500 0.250
```

Main lines, low angle first (10° ≤ 2θ ≤ 80°):
| d/Å | 2θ/deg | intensity |
| --- | --- | --- |
| 4.319 | 20.6 | 35 |
| 3.054 | 29.2 | 38 |
| 2.493 | 36.0 | 100 |
| 2.159 | 41.8 | 49 |
| 1.931 | 47.0 | 22 |
| 1.763 | 51.9 | 13 |
| 1.527 | 60.6 | 30 |
| 1.440 | 64.8 | 12 |
| 1.366 | 68.7 | 10 |
| 1.302 | 72.6 | 33 |

***

# 4
For Mg5Cd6In2, a DFT-relaxed cell (PBE, Alexandria) gives the theoretical X-ray powder pattern in this record (a wavelength of 1.5418 Å).
Kinematic intensities with the Lorentz-polarization factor, no thermal factor.

```
Mg5Cd6In2
1.0
10.097 0.000 0.000
0.000 17.912 0.000
0.000 0.000 3.316
Mg Cd In
10 12 4
Direct
0.000 0.000 0.000
0.067 0.277 0.000
0.204 0.556 0.000
0.296 0.056 0.000
0.433 0.777 0.000
0.500 0.500 0.000
0.567 0.223 0.000
0.704 0.944 0.000
0.796 0.444 0.000
0.933 0.723 0.000
0.053 0.423 0.500
0.062 0.131 0.500
0.202 0.882 0.000
0.298 0.382 0.000
0.438 0.631 0.500
0.447 0.923 0.500
0.553 0.077 0.500
0.562 0.369 0.500
0.702 0.618 0.000
0.798 0.118 0.000
0.938 0.869 0.500
0.947 0.577 0.500
0.185 0.723 0.500
0.315 0.223 0.500
0.685 0.777 0.500
0.815 0.277 0.500
```

Main lines, low angle first (10° ≤ 2θ ≤ 80°):
| d/Å | 2θ/deg | intensity |
| --- | --- | --- |
| 2.972 | 30.1 | 43 |
| 2.648 | 33.9 | 33 |
| 2.514 | 35.7 | 100 |
| 2.500 | 35.9 | 82 |
| 2.480 | 36.2 | 55 |
| 2.357 | 38.2 | 91 |
| 2.233 | 40.4 | 32 |
| 2.196 | 41.1 | 28 |
| 1.658 | 55.4 | 33 |
| 1.557 | 59.4 | 29 |

***

# 5
For Ni9Ge3H2, a DFT-relaxed cell (PBE, Alexandria) gives the theoretical X-ray powder pattern in this record (a wavelength of 1.5418 Å).
Kinematic intensities with the Lorentz-polarization factor, no thermal factor.

```
Ni9Ge3H2
1.0
5.094 0.000 0.000
-2.547 4.412 0.000
0.000 0.000 12.624
Ni Ge H
18 6 4
Direct
0.003 0.502 0.250
0.165 0.330 0.581
0.165 0.330 0.919
0.165 0.835 0.581
0.165 0.835 0.919
0.330 0.165 0.081
0.330 0.165 0.419
0.498 0.502 0.250
0.498 0.997 0.250
0.502 0.003 0.750
0.502 0.498 0.750
0.670 0.835 0.581
0.670 0.835 0.919
0.835 0.165 0.081
0.835 0.165 0.419
0.835 0.670 0.081
0.835 0.670 0.419
0.997 0.498 0.750
0.000 0.000 0.250
0.000 0.000 0.750
0.333 0.667 0.086
0.333 0.667 0.414
0.667 0.333 0.586
0.667 0.333 0.914
0.333 0.667 0.657
0.333 0.667 0.843
0.667 0.333 0.157
0.667 0.333 0.343
```

Main lines, low angle first (10° ≤ 2θ ≤ 80°):
| d/Å | 2θ/deg | intensity |
| --- | --- | --- |
| 2.547 | 35.2 | 1 |
| 2.173 | 41.6 | 34 |
| 2.104 | 43.0 | 63 |
| 2.082 | 43.5 | 93 |
| 1.954 | 46.5 | 100 |
| 1.808 | 50.5 | 57 |
| 1.661 | 55.3 | 16 |
| 1.396 | 67.0 | 7 |
| 1.283 | 73.8 | 18 |
| 1.274 | 74.5 | 34 |

***

# 6
For Na5IO4F2, a DFT-relaxed cell (PBE, Alexandria) gives the theoretical X-ray powder pattern in this record (a wavelength of 1.5418 Å).
Kinematic intensities with the Lorentz-polarization factor, no thermal factor.

```
Na5IO4F2
1.0
6.427 0.000 0.000
0.000 5.400 2.856
0.000 -5.400 2.856
Na I O F
5 1 4 2
Direct
0.000 0.000 0.000
0.245 0.275 0.672
0.245 0.672 0.275
0.755 0.275 0.672
0.755 0.672 0.275
0.500 0.125 0.125
0.255 0.304 0.304
0.500 0.337 0.976
0.500 0.976 0.337
0.745 0.304 0.304
0.000 0.605 0.961
0.000 0.961 0.605
```

Main lines, low angle first (10° ≤ 2θ ≤ 80°):
| d/Å | 2θ/deg | intensity |
| --- | --- | --- |
| 6.427 | 13.8 | 34 |
| 5.050 | 17.6 | 100 |
| 4.134 | 21.5 | 32 |
| 3.971 | 22.4 | 98 |
| 3.046 | 29.3 | 49 |
| 2.761 | 32.4 | 21 |
| 2.711 | 33.0 | 56 |
| 2.610 | 34.4 | 25 |
| 1.985 | 45.7 | 26 |
| 1.710 | 53.6 | 26 |